This entry pairs a crystal structure of Na2CoPbCl6 with its calculated XRD peak list. Radiation: CuKα. Structure: a DFT-relaxed cell (PBE, Alexandria).
Lines closer than 0.1° are merged.

Atomic structure:
Cell: 7.2544 7.2544 5.9228 Å, 90.00 90.00 90.00°
Space group P4mm (No. 99)
Asymmetric unit:
Na1 0.0000 0.5000 0.0000 (multiplicity 2)
Co1 0.0000 0.0000 0.6910 (multiplicity 1)
Pb1 0.5000 0.5000 0.6752 (multiplicity 1)
Cl1 0.0000 0.0000 0.3198 (multiplicity 1)
Cl2 0.2280 0.2280 0.8002 (multiplicity 4)
Cl3 0.5000 0.5000 0.2143 (multiplicity 1)

Main lines, by angle (2θ = 10–90°):
12.20 deg, d = 7.254 Å, I 31, (1 0 0); 14.96 deg, d = 5.923 Å, I 79, (0 0 1); 17.29 deg, d = 5.130 Å, I 100, (1 1 0); 22.94 deg, d = 3.878 Å, I 69, (1 1 1); 24.54 deg, d = 3.627 Å, I 30, (2 0 0); 31.44 deg, d = 2.845 Å, I 22, (2 1 1); 34.98 deg, d = 2.565 Å, I 99, (2 2 0); 38.24 deg, d = 2.354 Å, I 28, (2 2 1); 39.27 deg, d = 2.294 Å, I 46, (2 0 2); 42.25 deg, d = 2.139 Å, I 28, (3 1 1); 50.31 deg, d = 1.814 Å, I 48, (4 0 0); 52.79 deg, d = 1.734 Å, I 32, (2 0 3)